CaFeO2: theoretical PXRD pattern (Cu Kα), based on DFT lattice parameters and positions (GGA+U).

Most intense lines, 2θ from 15° to 90°, by angle:
| Position (°2θ) | I/Imax |
| --- | --- |
| 25.7 | 14 |
| 32.2 | 33 |
| 34.5 | 100 |
| 44.8 | 9 |
| 46.1 | 37 |
| 58.2 | 6 |
| 58.8 | 39 |
| 63.2 | 9 |
| 67.3 | 10 |
| 77.8 | 7 |

Atomic structure:
Unit cell a=5.566 b=5.566 c=3.467 alpha=90.00 beta=90.00 gamma=90.00
Atoms (fractional coordinates):
Ca  0.000  0.500  0.101
Ca  0.500  0.000  0.899
Fe  0.000  0.000  0.500
Fe  0.500  0.500  0.500
O  0.218  0.282  0.638
O  0.282  0.782  0.362
O  0.718  0.218  0.362
O  0.782  0.718  0.638